[1]
Simulated powder diffraction line list of Li2BiP3O10 for copper Kα, from a crystal structure in the Materials Project, relaxed with GGA-PBE.

The 12 most intense peaks (2θ from 5° to 70°), by angle:
2θ/deg, I (rel.)
8.7, 100
17.5, 46
18.4, 21
21.6, 23
22.9, 10
26.5, 51
27.1, 11
28.8, 16
30.4, 12
33.1, 11
33.4, 16
40.8, 10

Atomic structure:
Lattice parameters (Å, degrees): 5.109 9.004 10.265 90.00 98.41 90.00
Fractional coordinates of all 32 atoms:
Li (0.176, 0.077, 0.077)
Li (0.176, 0.423, 0.077)
Li (0.824, 0.577, 0.923)
Li (0.824, 0.923, 0.923)
Bi (0.000, 0.000, 0.500)
Bi (0.000, 0.500, 0.500)
P (0.321, 0.250, 0.713)
P (0.361, 0.750, 0.001)
P (0.483, 0.250, 0.444)
P (0.517, 0.750, 0.556)
P (0.639, 0.250, 0.999)
P (0.679, 0.750, 0.287)
O (0.157, 0.108, 0.699)
O (0.157, 0.392, 0.699)
O (0.201, 0.608, 0.981)
O (0.201, 0.892, 0.981)
O (0.219, 0.750, 0.575)
O (0.342, 0.106, 0.395)
O (0.342, 0.394, 0.395)
O (0.388, 0.250, 0.063)
O (0.467, 0.750, 0.163)
O (0.483, 0.750, 0.396)
O (0.517, 0.250, 0.604)
O (0.533, 0.250, 0.837)
O (0.612, 0.750, 0.937)
O (0.658, 0.606, 0.605)
O (0.658, 0.894, 0.605)
O (0.781, 0.250, 0.425)
O (0.799, 0.108, 0.019)
O (0.799, 0.392, 0.019)
O (0.843, 0.608, 0.301)
O (0.843, 0.892, 0.301)


[2]
Simulated powder diffraction line list of Ba2BiSbO6 for copper Kα, from a crystal structure in the Materials Project, relaxed with GGA-PBE.

The 12 most intense peaks (2θ from 5° to 70°), by angle:
2θ/deg, I (rel.)
13.8, 100
16.1, 92
16.4, 32
23.7, 81
26.7, 58
28.3, 79
31.4, 56
32.5, 51
35.4, 38
36.1, 39
38.4, 41
49.3, 32

Atomic structure:
Lattice parameters (Å, degrees): 6.200 6.467 7.327 104.39 111.36 100.79
Fractional coordinates of all 10 atoms:
Ba (0.168, 0.368, 0.225)
Ba (0.832, 0.632, 0.775)
Bi (0.000, 0.000, 0.500)
Sb (0.500, 0.000, 0.500)
O (0.015, 0.276, 0.803)
O (0.208, 0.834, 0.182)
O (0.442, 0.720, 0.560)
O (0.558, 0.280, 0.440)
O (0.792, 0.166, 0.818)
O (0.985, 0.724, 0.197)